This entry pairs a crystal structure of Cs2SbAs with its calculated powder diffractogram. Radiation: Cu Kα (λ = 1.5418 Å). Structure: a crystal structure in Alexandria, relaxed with GGA-PBE.
No peak broadening, texture or thermal motion is included.

Main lines, in order of rising 2θ (15 to 90 degrees two-theta):
- (1 1 -1), 23.69°, I 27.1
- (0 2 0), 24.33°, I 37.6
- (3 1 0), 27.11°, I 81.0
- (1 1 1), 28.75°, I 100.0
- (2 2 -1), 32.93°, I 56.5
- (2 0 -2), 41.26°, I 19.9
- (1 3 1), 45.64°, I 38.5
- (5 1 -2), 50.07°, I 29.2
- (4 2 1), 52.73°, I 37.9
- (2 2 3), 83.75°, I 18.0

a = 11.8781 Å, b = 7.3164 Å, c = 4.3759 Å
α = 90.00°, β = 111.59°, γ = 90.00°
Space group C2 (No. 5)
Symmetry-distinct sites (fractional):
Cs  0.1948  0.0000  0.1961
Sb  0.0000  0.4857  0.0000
As  0.0000  0.7105  0.5000

---

This entry pairs a crystal structure of CsSn2SbAs with its calculated powder diffractogram. Radiation: Cu Kα (λ = 1.5418 Å). Structure: a crystal structure in Alexandria, relaxed with GGA-PBE.
No peak broadening, texture or thermal motion is included.

Main lines, in order of rising 2θ (15 to 90 degrees two-theta):
- (1 0 2), 22.70°, I 27.3
- (1 1 0), 23.16°, I 37.3
- (2 0 -2), 23.30°, I 44.2
- (2 1 0), 30.54°, I 100.0
- (2 1 -2), 30.98°, I 33.8
- (1 0 -4), 31.17°, I 65.4
- (3 1 -2), 38.85°, I 21.2
- (0 2 0), 40.98°, I 34.8
- (1 1 4), 43.76°, I 31.7
- (1 2 -4), 52.38°, I 28.2

a = 8.2938 Å, b = 4.4040 Å, c = 11.4795 Å
α = 90.00°, β = 108.89°, γ = 90.00°
Space group P2_1/m (No. 11)
Symmetry-distinct sites (fractional):
Cs  0.0537  0.2500  0.2816
Sn  0.4395  0.7500  0.8550
Sn  0.4636  0.7500  0.3711
Sb  0.3112  0.7500  0.0844
As  0.3223  0.7500  0.5758

---

This entry pairs a crystal structure of Cs3AsSe3 with its calculated powder diffractogram. Radiation: Cu Kα (λ = 1.5418 Å). Structure: a crystal structure in Alexandria, relaxed with GGA-PBE.
No peak broadening, texture or thermal motion is included.

Main lines, in order of rising 2θ (15 to 90 degrees two-theta):
- (1 2 -2), 21.81°, I 58.6
- (1 3 -1), 23.92°, I 76.8
- (1 3 -2), 25.63°, I 100.0
- (1 1 3), 27.01°, I 91.4
- (1 0 -4), 27.12°, I 51.8
- (0 2 4), 27.68°, I 55.4
- (1 4 -2), 30.24°, I 63.2
- (0 5 1), 30.72°, I 58.2
- (2 0 0), 31.39°, I 94.2
- (1 4 2), 32.41°, I 57.1

a = 5.7825 Å, b = 14.8633 Å, c = 14.5099 Å
α = 90.00°, β = 99.68°, γ = 90.00°
Space group P2_1/c (No. 14)
Symmetry-distinct sites (fractional):
Cs  0.1487  0.1058  0.4346
Cs  0.2482  0.5203  0.6313
Cs  0.2795  0.2201  0.7209
As  0.2812  0.7050  0.4435
Se  0.2365  0.6256  0.2944
Se  0.2878  0.6333  0.9044
Se  0.3242  0.1682  0.9804

---

This entry pairs a crystal structure of CsAsSe4 with its calculated powder diffractogram. Radiation: Cu Kα (λ = 1.5418 Å). Structure: a crystal structure in Alexandria, relaxed with GGA-PBE.
No peak broadening, texture or thermal motion is included.

Main lines, in order of rising 2θ (15 to 90 degrees two-theta):
- (1 -1 1), 20.00°, I 60.2
- (0 1 -2), 22.40°, I 36.2
- (1 0 -2), 23.51°, I 47.8
- (0 2 0), 24.28°, I 97.3
- (1 -2 0), 26.55°, I 26.7
- (1 2 -2), 29.36°, I 42.4
- (2 -1 1), 30.83°, I 100.0
- (2 -2 0), 34.12°, I 32.5
- (-2 1 2), 34.61°, I 78.4
- (2 1 1), 35.14°, I 42.0

a = 7.1135 Å, b = 7.6986 Å, c = 8.3575 Å
α = 107.14°, β = 102.61°, γ = 90.75°
Space group P-1 (No. 2)
Symmetry-distinct sites (fractional):
Cs  0.2395  0.2638  0.4019
As  0.0000  0.5000  0.0000
As  0.5000  0.0000  0.0000
Se  0.0134  0.2135  0.7294
Se  0.1657  0.8025  0.9618
Se  0.2921  0.7592  0.7065
Se  0.3113  0.3006  0.9384